Structure and simulated X-ray diffraction stick pattern of NdDyZn4 (a crystal structure in Alexandria, relaxed with PBE; Cu Kα (weighted mean of Kα1 and Kα2)).
Intensities are scaled so that the largest is 100.

Atomic structure:
```
NdDyZn4
1.0
-2.258 3.598 3.906
2.258 -3.598 3.906
2.258 3.598 -3.906
Nd Dy Zn
1 1 4
Direct
0.000 0.000 0.000
0.500 0.000 0.500
0.089 0.334 0.755
0.422 0.666 0.755
0.578 0.334 0.245
0.911 0.666 0.245
```

Most intense lines, 2θ from 10° to 90°, low angle first:
| 2theta | I_rel |
| --- | --- |
| 22.75 | 18 |
| 33.86 | 100 |
| 39.95 | 55 |
| 50.75 | 9 |
| 53.35 | 27 |
| 66.47 | 23 |
| 68.68 | 25 |
| 72.56 | 9 |
| 84.51 | 7 |
| 86.23 | 4 |


Structure and simulated X-ray diffraction stick pattern of CsLiTlF3 (a crystal structure in Alexandria, relaxed with PBE; Cu Kα (weighted mean of Kα1 and Kα2)).
Intensities are scaled so that the largest is 100.

Atomic structure:
```
CsLiTlF3
1.0
7.910 -2.097 0.000
7.910 2.097 0.000
-2.593 0.000 7.621
Cs Li Tl F
2 2 2 6
Direct
0.153 0.153 0.084
0.847 0.847 0.916
0.482 0.482 0.272
0.518 0.518 0.728
0.139 0.139 0.549
0.861 0.861 0.451
0.015 0.015 0.691
0.355 0.355 0.183
0.395 0.395 0.699
0.605 0.605 0.301
0.645 0.645 0.817
0.985 0.985 0.309
```

Most intense lines, 2θ from 10° to 90°, low angle first:
| 2theta | I_rel |
| --- | --- |
| 11.61 | 26 |
| 22.01 | 65 |
| 23.76 | 68 |
| 27.50 | 48 |
| 27.78 | 69 |
| 29.53 | 32 |
| 30.83 | 100 |
| 38.26 | 42 |
| 40.30 | 46 |
| 43.13 | 24 |


Structure and simulated X-ray diffraction stick pattern of Na3Ag4Cl9 (a crystal structure in Alexandria, relaxed with PBE; Cu Kα (weighted mean of Kα1 and Kα2)).
Intensities are scaled so that the largest is 100.

Atomic structure:
```
Na3Ag4Cl9
1.0
3.416 1.972 9.757
-3.416 1.972 9.757
0.000 -3.945 9.757
Na Ag Cl
3 4 9
Direct
0.000 0.000 0.000
0.193 0.193 0.193
0.561 0.561 0.561
0.318 0.318 0.318
0.433 0.433 0.433
0.756 0.756 0.756
0.877 0.877 0.877
0.047 0.659 0.409
0.159 0.775 0.540
0.212 0.594 0.983
0.409 0.047 0.659
0.540 0.159 0.775
0.594 0.983 0.212
0.659 0.409 0.047
0.775 0.540 0.159
0.983 0.212 0.594
```

Most intense lines, 2θ from 10° to 90°, low angle first:
| 2theta | I_rel |
| --- | --- |
| 16.16 | 100 |
| 26.09 | 84 |
| 27.67 | 18 |
| 31.98 | 18 |
| 37.23 | 32 |
| 38.21 | 91 |
| 46.02 | 58 |
| 61.30 | 17 |
| 73.32 | 15 |
| 79.94 | 16 |